1.
For Sr4HSe2, a PBE-relaxed structure gives the simulated PXRD pattern in this record (Cu Kα X-rays).

Atomic structure:
```
data_Sr4HSe2
_chemical_formula_sum 'Sr8 H2 Se4'
_space_group_name_H-M_alt 'I 4/m m m'
_space_group_IT_number 139
_space_group_name_Hall '-I 4 2'
_cell_length_a 4.886
_cell_length_b 4.886
_cell_length_c 17.483
_cell_angle_alpha 90.00
_cell_angle_beta 90.00
_cell_angle_gamma 90.00
loop_
_atom_site_label
_atom_site_fract_x
_atom_site_fract_y
_atom_site_fract_z
Sr1 0.000 0.000 0.191
Sr2 0.000 0.500 0.000
H1 0.000 0.000 0.000
Se1 0.000 0.000 0.383
```

Largest 6 diffraction maxima, in order of rising 2θ, 10 to 80 degrees two-theta:
2theta	intensity	index
27.8	100.0	1 1 2
31.5	81.2	1 0 5
33.0	75.2	1 1 4
36.8	74.0	2 0 0
49.2	45.3	2 1 5
53.0	25.3	2 2 0



2.
For TeH4Se2, a PBE-relaxed structure gives the simulated PXRD pattern in this record (Cu Kα X-rays).

Atomic structure:
```
data_TeH4Se2
_chemical_formula_sum 'Te2 H8 Se4'
_space_group_name_H-M_alt 'P 1'
_space_group_IT_number 1
_cell_length_a 5.746
_cell_length_b 7.834
_cell_length_c 8.176
_cell_angle_alpha 83.94
_cell_angle_beta 89.83
_cell_angle_gamma 75.20
loop_
_space_group_symop_operation_xyz
'x,y,z'
loop_
_atom_site_label
_atom_site_fract_x
_atom_site_fract_y
_atom_site_fract_z
Te1 0.000 0.000 0.000
Te2 0.479 0.462 0.323
H1 0.062 0.639 0.556
H2 0.412 0.735 0.952
H3 0.453 0.127 0.095
H4 0.500 0.407 0.703
H5 0.716 0.754 0.453
H6 0.737 0.306 0.304
H7 0.791 0.699 0.977
H8 0.979 0.107 0.809
Se1 0.201 0.218 0.136
Se2 0.373 0.309 0.602
Se3 0.631 0.579 0.956
Se4 0.923 0.823 0.494
```

Largest 6 diffraction maxima, in order of rising 2θ, 10 to 80 degrees two-theta:
2theta	intensity	index
20.0	46.1	1 1 1
22.2	100.0	1 -1 0
25.0	29.8	0 2 1
26.0	34.0	0 1 -2
26.4	22.6	1 2 1
26.9	32.4	1 0 -2